For Sr12TlPd6, a DFT-relaxed cell (GGA-PBE, Alexandria) gives the simulated powder diffraction line list in this record (Cu Ka).
Intensities are scaled so that the largest is 100.

Structure:
```
Sr12TlPd6
1.0
-5.5247 5.5247 5.5247
5.5247 -5.5247 5.5247
5.5247 5.5247 -5.5247
Sr Tl Pd
12 1 6
Cartesian
5.5247 -2.0976 3.5322
3.4271 1.9924 0.0000
7.6222 1.9924 0.0000
3.5322 5.5247 -2.0976
1.9924 0.0000 3.4271
0.0000 3.4271 1.9924
5.5247 2.0976 3.5322
3.5322 5.5247 2.0976
1.9924 0.0000 7.6222
-2.0976 3.5322 5.5247
2.0976 3.5322 5.5247
0.0000 7.6222 1.9924
0.0000 0.0000 0.0000
5.5247 0.0000 1.3603
5.5247 4.1644 0.0000
1.3603 5.5247 0.0000
4.1644 0.0000 5.5247
0.0000 1.3603 5.5247
0.0000 5.5247 4.1644
```

Peak list (8 most intense, 2θ = 10–80°, by angle)
- 2θ = 16.0°, I 29
- 2θ = 28.0°, I 20
- 2θ = 30.3°, I 100
- 2θ = 34.4°, I 15
- 2θ = 41.7°, I 41
- 2θ = 50.9°, I 19
- 2θ = 59.1°, I 16
- 2θ = 73.8°, I 15